No. 1
# CsTe2MoAuS
Theoretical X-ray diffraction stick pattern, Cu Kα, 1.54184 Å. Input: a structure optimized by DFT (PBE).

a = 8.9201 Å, b = 8.9201 Å, c = 10.2329 Å
α = 90.00°, β = 90.00°, γ = 153.28°
Element x y z (fractional)
1 Cs 0.2431 0.7569 0.7500
2 Cs 0.7569 0.2431 0.2500
3 Te 0.3875 0.6125 0.0205
4 Te 0.3875 0.6125 0.4795
5 Te 0.6125 0.3875 0.5205
6 Te 0.6125 0.3875 0.9795
7 Mo 0.0000 0.0000 0.0000
8 Mo 0.0000 0.0000 0.5000
9 Au 0.4620 0.5380 0.2500
10 Au 0.5380 0.4620 0.7500
11 S 0.0470 0.9530 0.2500
12 S 0.9530 0.0470 0.7500

Largest 10 diffraction maxima, in order of rising 2θ, 2θ = 10–90°:
2θ/deg, intensity
10.2, 100
22.2, 56
26.9, 72
28.0, 87
31.9, 86
35.1, 56
38.2, 51
43.9, 32
50.6, 33
52.3, 49

No. 2
# UCo2Sn2
Theoretical X-ray diffraction stick pattern, Cu Kα, 1.54184 Å. Input: a structure optimized by DFT (PBE).

a = 4.3579 Å, b = 4.3579 Å, c = 9.7830 Å
α = 90.00°, β = 90.00°, γ = 90.00°
Element x y z (fractional)
1 U 0.2500 0.2500 0.2292
2 U 0.7500 0.7500 0.7708
3 Co 0.2500 0.2500 0.6270
4 Co 0.2500 0.7500 0.0000
5 Co 0.7500 0.2500 0.0000
6 Co 0.7500 0.7500 0.3730
7 Sn 0.2500 0.2500 0.8702
8 Sn 0.2500 0.7500 0.5000
9 Sn 0.7500 0.2500 0.5000
10 Sn 0.7500 0.7500 0.1298

Largest 10 diffraction maxima, in order of rising 2θ, 2θ = 10–90°:
2θ/deg, intensity
22.3, 8
29.0, 14
30.4, 8
34.4, 100
41.4, 38
51.2, 12
54.9, 21
60.0, 13
67.9, 11
71.1, 20

No. 3
# Ta11Ni4
Theoretical X-ray diffraction stick pattern, Cu Kα, 1.54184 Å. Input: a structure optimized by DFT (PBE).

a = 9.7263 Å, b = 9.7263 Å, c = 5.1431 Å
α = 90.00°, β = 90.00°, γ = 90.00°
Element x y z (fractional)
1 Ta 0.0000 0.0000 0.0000
2 Ta 0.0387 0.3736 0.5000
3 Ta 0.1028 0.1028 0.5000
4 Ta 0.1264 0.5387 0.0000
5 Ta 0.1864 0.8136 0.2527
6 Ta 0.1864 0.8136 0.7473
7 Ta 0.3136 0.3136 0.2473
8 Ta 0.3136 0.3136 0.7527
9 Ta 0.3736 0.0387 0.5000
10 Ta 0.3972 0.6028 0.0000
11 Ta 0.4613 0.8736 0.0000
12 Ta 0.5000 0.5000 0.5000
13 Ta 0.5387 0.1264 0.0000
14 Ta 0.6028 0.3972 0.0000
15 Ta 0.6264 0.9613 0.5000
16 Ta 0.6864 0.6864 0.2473
17 Ta 0.6864 0.6864 0.7527
18 Ta 0.8136 0.1864 0.2527
19 Ta 0.8136 0.1864 0.7473
20 Ta 0.8736 0.4613 0.0000
21 Ta 0.8972 0.8972 0.5000
22 Ta 0.9613 0.6264 0.5000
23 Ni 0.0692 0.2575 0.0000
24 Ni 0.2425 0.5692 0.5000
25 Ni 0.2575 0.0692 0.0000
26 Ni 0.4308 0.7575 0.5000
27 Ni 0.5692 0.2425 0.5000
28 Ni 0.7425 0.9308 0.0000
29 Ni 0.7575 0.4308 0.5000
30 Ni 0.9308 0.7425 0.0000

Largest 10 diffraction maxima, in order of rising 2θ, 2θ = 10–90°:
2θ/deg, intensity
34.0, 22
38.1, 79
39.3, 44
39.6, 61
40.8, 68
42.1, 100
43.2, 35
66.9, 33
67.5, 25
70.5, 20

No. 4
# Hf5N2
Theoretical X-ray diffraction stick pattern, Cu Kα, 1.54184 Å. Input: a structure optimized by DFT (PBE).

a = 7.6223 Å, b = 7.6223 Å, c = 6.1072 Å
α = 103.54°, β = 103.54°, γ = 42.26°
Element x y z (fractional)
1 Hf 0.0869 0.9131 0.7500
2 Hf 0.1285 0.2774 0.6395
3 Hf 0.2774 0.1285 0.1395
4 Hf 0.3248 0.4710 0.0357
5 Hf 0.4710 0.3248 0.5357
6 Hf 0.5290 0.6752 0.4643
7 Hf 0.6752 0.5290 0.9643
8 Hf 0.7226 0.8715 0.8605
9 Hf 0.8715 0.7226 0.3605
10 Hf 0.9131 0.0869 0.2500
11 N 0.0966 0.6021 0.6981
12 N 0.3979 0.9034 0.8019
13 N 0.6021 0.0966 0.1981
14 N 0.9034 0.3979 0.3019

Largest 10 diffraction maxima, in order of rising 2θ, 2θ = 10–90°:
2θ/deg, intensity
32.0, 17
32.6, 13
34.7, 34
36.5, 100
37.1, 41
47.9, 14
57.8, 18
63.4, 19
69.2, 18
69.6, 13

No. 5
# TbHoGe2Au2
Theoretical X-ray diffraction stick pattern, Cu Kα, 1.54184 Å. Input: a structure optimized by DFT (PBE).

a = 4.4790 Å, b = 4.4790 Å, c = 7.3067 Å
α = 90.00°, β = 90.00°, γ = 120.00°
Element x y z (fractional)
1 Tb 0.0000 0.0000 0.0000
2 Ho 0.0000 0.0000 0.4996
3 Ge 0.3333 0.6667 0.2087
4 Ge 0.6667 0.3333 0.7062
5 Au 0.3333 0.6667 0.7872
6 Au 0.6667 0.3333 0.2946

Largest 10 diffraction maxima, in order of rising 2θ, 2θ = 10–90°:
2θ/deg, intensity
26.0, 35
33.7, 100
40.3, 74
43.9, 21
53.5, 27
66.0, 18
68.6, 9
69.0, 25
73.2, 13
75.7, 9

No. 6
# MgNi6As3P
Theoretical X-ray diffraction stick pattern, Cu Kα, 1.54184 Å. Input: a structure optimized by DFT (PBE).

a = 6.8469 Å, b = 6.8469 Å, c = 3.5312 Å
α = 90.00°, β = 90.00°, γ = 120.00°
Element x y z (fractional)
1 Mg 0.0000 0.0000 0.0000
2 Ni 0.2053 0.4106 0.5000
3 Ni 0.2053 0.7947 0.5000
4 Ni 0.5309 0.0619 0.0000
5 Ni 0.5309 0.4691 0.0000
6 Ni 0.5894 0.7947 0.5000
7 Ni 0.9381 0.4691 0.0000
8 As 0.3651 0.1826 0.5000
9 As 0.8174 0.1826 0.5000
10 As 0.8174 0.6349 0.5000
11 P 0.3333 0.6667 0.0000

Largest 10 diffraction maxima, in order of rising 2θ, 2θ = 10–90°:
2θ/deg, intensity
14.9, 18
25.2, 12
39.7, 100
40.2, 20
45.9, 18
48.1, 66
51.8, 25
53.5, 30
77.7, 19
86.6, 16

No. 7
# Co8Ni5
Theoretical X-ray diffraction stick pattern, Cu Kα, 1.54184 Å. Input: a structure optimized by DFT (PBE).

a = 8.4821 Å, b = 8.4821 Å, c = 8.4821 Å
α = 31.24°, β = 31.24°, γ = 31.24°
Element x y z (fractional)
1 Co 0.0897 0.0897 0.5828
2 Co 0.0897 0.5828 0.0897
3 Co 0.1646 0.1646 0.1646
4 Co 0.4172 0.9103 0.9103
5 Co 0.5828 0.0897 0.0897
6 Co 0.8354 0.8354 0.8354
7 Co 0.9103 0.4172 0.9103
8 Co 0.9103 0.9103 0.4172
9 Ni 0.0000 0.0000 0.0000
10 Ni 0.3509 0.3509 0.3509
11 Ni 0.4528 0.4528 0.4528
12 Ni 0.5472 0.5472 0.5472
13 Ni 0.6491 0.6491 0.6491

Largest 10 diffraction maxima, in order of rising 2θ, 2θ = 10–90°:
2θ/deg, intensity
39.5, 55
43.9, 49
45.0, 24
45.7, 100
46.0, 50
47.3, 59
49.8, 52
53.4, 26
77.2, 25
84.9, 32

No. 8
# PrSiH2O4
Theoretical X-ray diffraction stick pattern, Cu Kα, 1.54184 Å. Input: a structure optimized by DFT (PBE).

a = 4.5842 Å, b = 6.6500 Å, c = 12.8890 Å
α = 90.00°, β = 104.48°, γ = 90.00°
Element x y z (fractional)
1 Pr 0.0685 0.2066 0.3659
2 Pr 0.0685 0.2934 0.8659
3 Pr 0.9315 0.7066 0.1341
4 Pr 0.9315 0.7934 0.6341
5 Si 0.1855 0.2315 0.1239
6 Si 0.1855 0.2685 0.6239
7 Si 0.8145 0.7315 0.3761
8 Si 0.8145 0.7685 0.8761
9 H 0.3469 0.7313 0.9541
10 H 0.3469 0.7687 0.4541
11 H 0.4816 0.5485 0.7538
12 H 0.4816 0.9515 0.2538
13 H 0.5184 0.0485 0.7462
14 H 0.5184 0.4515 0.2462
15 H 0.6531 0.2313 0.5459
16 H 0.6531 0.2687 0.0459
17 O 0.1291 0.6588 0.9455
18 O 0.1291 0.8412 0.4455
19 O 0.1307 0.0389 0.1942
20 O 0.1307 0.4611 0.6942
21 O 0.3019 0.0855 0.7142
22 O 0.3019 0.4145 0.2142
23 O 0.3774 0.1919 0.0372
24 O 0.3774 0.3081 0.5372
25 O 0.6226 0.6919 0.4628
26 O 0.6226 0.8081 0.9628
27 O 0.6981 0.5855 0.7858
28 O 0.6981 0.9145 0.2858
29 O 0.8693 0.5389 0.3058
30 O 0.8693 0.9611 0.8058
31 O 0.8709 0.1588 0.5545
32 O 0.8709 0.3412 0.0545

Largest 10 diffraction maxima, in order of rising 2θ, 2θ = 10–90°:
2θ/deg, intensity
19.5, 64
20.0, 100
24.1, 56
25.3, 52
26.8, 51
28.6, 38
30.6, 96
33.7, 31
39.6, 43
45.9, 34

No. 9
# Na4GePdO6
Theoretical X-ray diffraction stick pattern, Cu Kα, 1.54184 Å. Input: a structure optimized by DFT (PBE).

a = 5.3013 Å, b = 5.3013 Å, c = 5.5310 Å
α = 99.32°, β = 99.32°, γ = 119.95°
Element x y z (fractional)
1 Na 0.0000 0.0000 0.0000
2 Na 0.1573 0.8427 0.5000
3 Na 0.4932 0.5068 0.5000
4 Na 0.8458 0.1542 0.5000
5 Ge 0.6671 0.3329 0.0000
6 Pd 0.3324 0.6676 0.0000
7 O 0.0547 0.4325 0.2088
8 O 0.3054 0.2909 0.7925
9 O 0.4481 0.0867 0.2089
10 O 0.5675 0.9453 0.7912
11 O 0.7091 0.6946 0.2075
12 O 0.9133 0.5519 0.7911

Largest 10 diffraction maxima, in order of rising 2θ, 2θ = 10–90°:
2θ/deg, intensity
16.9, 97
20.2, 31
22.4, 25
25.8, 18
34.3, 54
35.7, 60
41.0, 53
41.1, 100
58.5, 29
60.5, 41

No. 10
# Hf2GePd2Pb
Theoretical X-ray diffraction stick pattern, Cu Kα, 1.54184 Å. Input: a structure optimized by DFT (PBE).

a = 10.9021 Å, b = 4.4484 Å, c = 10.9248 Å
α = 90.00°, β = 109.52°, γ = 90.00°
Element x y z (fractional)
1 Hf 0.0000 0.0000 0.0000
2 Hf 0.1164 0.5000 0.3731
3 Hf 0.2377 0.0000 0.7418
4 Hf 0.3757 0.5000 0.1355
5 Hf 0.4980 0.0000 0.4988
6 Hf 0.6238 0.5000 0.8665
7 Hf 0.7468 0.0000 0.2576
8 Hf 0.8656 0.5000 0.6198
9 Ge 0.2477 0.0000 0.2510
10 Ge 0.6214 0.5000 0.3759
11 Ge 0.7449 0.0000 0.7451
12 Ge 0.9927 0.0000 0.4977
13 Pd 0.1310 0.5000 0.1342
14 Pd 0.2346 0.0000 0.4882
15 Pd 0.3698 0.5000 0.8732
16 Pd 0.4991 0.0000 0.2605
17 Pd 0.6259 0.5000 0.6205
18 Pd 0.7479 0.0000 0.9873
19 Pd 0.8684 0.5000 0.3808
20 Pd 0.9845 0.0000 0.7388
21 Pb 0.1189 0.5000 0.8744
22 Pb 0.3690 0.5000 0.6206
23 Pb 0.4979 0.0000 0.0018
24 Pb 0.8702 0.5000 0.1245

Largest 10 diffraction maxima, in order of rising 2θ, 2θ = 10–90°:
2θ/deg, intensity
24.5, 18
28.3, 31
40.5, 100
47.9, 8
50.2, 7
58.6, 17
66.4, 8
73.6, 8
73.7, 25
87.8, 6

No. 11
# Rb2U6Pd4S17
Theoretical X-ray diffraction stick pattern, Cu Kα, 1.54184 Å. Input: a structure optimized by DFT (PBE).

a = 10.2906 Å, b = 10.2906 Å, c = 12.6819 Å
α = 90.00°, β = 90.00°, γ = 90.00°
Element x y z (fractional)
1 Rb 0.0000 0.0000 0.2142
2 Rb 0.0000 0.0000 0.7858
3 Rb 0.5000 0.5000 0.2858
4 Rb 0.5000 0.5000 0.7142
5 U 0.0000 0.5000 0.2500
6 U 0.0000 0.5000 0.7500
7 U 0.1188 0.2389 0.5000
8 U 0.2389 0.8812 0.5000
9 U 0.2611 0.3812 0.0000
10 U 0.3812 0.7389 0.0000
11 U 0.5000 0.0000 0.2500
12 U 0.5000 0.0000 0.7500
13 U 0.6188 0.2611 0.0000
14 U 0.7389 0.6188 0.0000
15 U 0.7611 0.1188 0.5000
16 U 0.8812 0.7611 0.5000
17 Pd 0.0651 0.6403 0.0000
18 Pd 0.1403 0.5651 0.5000
19 Pd 0.3597 0.0651 0.0000
20 Pd 0.4349 0.1403 0.5000
21 Pd 0.5651 0.8597 0.5000
22 Pd 0.6403 0.9349 0.0000
23 Pd 0.8597 0.4349 0.5000
24 Pd 0.9349 0.3597 0.0000
25 S 0.0000 0.0000 0.5000
26 S 0.0825 0.2925 0.1328
27 S 0.0825 0.2925 0.8672
28 S 0.0904 0.7241 0.3678
29 S 0.0904 0.7241 0.6322
30 S 0.2075 0.4175 0.3672
31 S 0.2075 0.4175 0.6328
32 S 0.2241 0.5904 0.1322
33 S 0.2241 0.5904 0.8678
34 S 0.2759 0.0904 0.3678
35 S 0.2759 0.0904 0.6322
36 S 0.2925 0.9175 0.1328
37 S 0.2925 0.9175 0.8672
38 S 0.4096 0.2241 0.1322
39 S 0.4096 0.2241 0.8678
40 S 0.4175 0.7925 0.3672
41 S 0.4175 0.7925 0.6328
42 S 0.5000 0.5000 0.0000
43 S 0.5825 0.2075 0.3672
44 S 0.5825 0.2075 0.6328
45 S 0.5904 0.7759 0.1322
46 S 0.5904 0.7759 0.8678
47 S 0.7075 0.0825 0.1328
48 S 0.7075 0.0825 0.8672
49 S 0.7241 0.9096 0.3678
50 S 0.7241 0.9096 0.6322
51 S 0.7759 0.4096 0.1322
52 S 0.7759 0.4096 0.8678
53 S 0.7925 0.5825 0.3672
54 S 0.7925 0.5825 0.6328
55 S 0.9096 0.2759 0.3678
56 S 0.9096 0.2759 0.6322
57 S 0.9175 0.7075 0.1328
58 S 0.9175 0.7075 0.8672

Largest 10 diffraction maxima, in order of rising 2θ, 2θ = 10–90°:
2θ/deg, intensity
11.1, 57
12.2, 79
14.0, 48
22.3, 97
26.9, 38
28.3, 72
34.5, 52
34.8, 100
39.1, 45
45.3, 40